Structure and computed XRD peak list of Mg2GaAu5 (a structure optimized by DFT (PBE); Cu Kα (λ = 1.5418 Å)).
Kinematic intensities with the Lorentz-polarization factor, no thermal factor.

Top 10 peaks for 2θ = 10–90°, low angle first:
| (hkl) | 2theta | d/Å | I_rel |
| --- | --- | --- | --- |
| 1 2 0 | 22.10 | 4.022 | 19 |
| 1 1 1 | 26.76 | 3.331 | 15 |
| 1 2 1 | 30.17 | 2.962 | 22 |
| 2 0 1 | 37.31 | 2.410 | 41 |
| 0 4 1 | 38.14 | 2.359 | 100 |
| 2 3 0 | 39.44 | 2.285 | 19 |
| 0 0 2 | 41.24 | 2.189 | 32 |
| 2 4 0 | 45.08 | 2.011 | 22 |
| 2 4 2 | 62.74 | 1.481 | 17 |
| 0 4 3 | 73.12 | 1.294 | 15 |

Cell and atoms:
Cell: 5.7731 11.2132 4.3784 Å, 90.00 90.00 90.00°
Space group Pbam (No. 55)
Symmetry-distinct sites (fractional):
1 Mg 0.1757 0.1390 0.0000
2 Ga 0.0000 0.5000 0.5000
3 Au 0.0000 0.0000 0.5000
4 Au 0.0714 0.7428 0.5000
5 Au 0.1815 0.3934 0.0000

***

Structure and computed XRD peak list of V7GaH5 (a structure optimized by DFT (PBE); Cu Kα (λ = 1.5418 Å)).
Kinematic intensities with the Lorentz-polarization factor, no thermal factor.

Top 10 peaks for 2θ = 10–90°, low angle first:
| (hkl) | 2theta | d/Å | I_rel |
| --- | --- | --- | --- |
| 1 2 1 | 34.07 | 2.631 | 30 |
| 0 1 3 | 36.36 | 2.471 | 17 |
| 1 0 3 | 40.29 | 2.238 | 100 |
| 2 0 0 | 42.10 | 2.146 | 57 |
| 1 3 0 | 42.47 | 2.128 | 63 |
| 1 2 3 | 47.56 | 1.912 | 26 |
| 1 3 2 | 48.64 | 1.872 | 31 |
| 0 3 3 | 51.00 | 1.791 | 25 |
| 2 3 3 | 68.20 | 1.375 | 19 |
| 3 3 0 | 77.19 | 1.236 | 23 |

Cell and atoms:
Cell: 4.2923 7.3526 7.8695 Å, 90.00 90.00 90.00°
Space group Imm2 (No. 44)
Symmetry-distinct sites (fractional):
1 V 0.0000 0.0000 0.0000
2 V 0.0000 0.0000 0.3115
3 V 0.0000 0.3187 0.2706
4 V 0.0000 0.3259 0.6140
5 V 0.0000 0.5000 0.9690
6 Ga 0.0000 0.0000 0.6749
7 H 0.0000 0.5000 0.4451
8 H 0.2477 0.2124 0.4331

***

Structure and computed XRD peak list of LaZn2Co2Si (a structure optimized by DFT (PBE); Cu Kα (λ = 1.5418 Å)).
Kinematic intensities with the Lorentz-polarization factor, no thermal factor.

Top 10 peaks for 2θ = 10–90°, low angle first:
| (hkl) | 2theta | d/Å | I_rel |
| --- | --- | --- | --- |
| 1 0 1 | 25.90 | 3.441 | 30 |
| 1 1 0 | 29.61 | 3.017 | 33 |
| 1 1 1 | 33.46 | 2.678 | 80 |
| 1 0 2 | 37.42 | 2.403 | 100 |
| 2 0 0 | 42.36 | 2.134 | 69 |
| 2 1 2 | 57.79 | 1.596 | 55 |
| 2 2 0 | 61.46 | 1.509 | 22 |
| 3 1 1 | 71.81 | 1.315 | 16 |
| 2 0 4 | 79.82 | 1.202 | 20 |
| 3 2 2 | 89.38 | 1.096 | 16 |

Cell and atoms:
Cell: 4.2673 4.2673 5.8163 Å, 90.00 90.00 90.00°
Space group P4/mmm (No. 123)
Symmetry-distinct sites (fractional):
1 La 0.0000 0.0000 0.0000
2 Zn 0.5000 0.5000 0.2464
3 Co 0.0000 0.5000 0.5000
4 Si 0.0000 0.0000 0.5000

***

Structure and computed XRD peak list of KCr3Ni (a structure optimized by DFT (PBE); Cu Kα (λ = 1.5418 Å)).
Kinematic intensities with the Lorentz-polarization factor, no thermal factor.

Top 10 peaks for 2θ = 10–90°, low angle first:
| (hkl) | 2theta | d/Å | I_rel |
| --- | --- | --- | --- |
| 1 0 0 | 18.35 | 4.834 | 53 |
| 1 1 0 | 26.07 | 3.418 | 20 |
| 1 1 1 | 32.07 | 2.791 | 54 |
| 2 0 0 | 37.20 | 2.417 | 100 |
| 2 1 0 | 41.79 | 2.162 | 25 |
| 2 2 0 | 53.63 | 1.709 | 63 |
| 3 0 0 | 57.17 | 1.611 | 12 |
| 3 1 1 | 63.87 | 1.457 | 17 |
| 2 2 2 | 67.08 | 1.395 | 20 |
| 4 0 0 | 79.28 | 1.208 | 9 |

Cell and atoms:
Cell: 4.8336 4.8336 4.8336 Å, 90.00 90.00 90.00°
Space group Pm-3m (No. 221)
Symmetry-distinct sites (fractional):
1 K 0.0000 0.0000 0.0000
2 Cr 0.0000 0.5000 0.5000
3 Ni 0.5000 0.5000 0.5000

***

Structure and computed XRD peak list of GaHg (a structure optimized by DFT (PBE); Cu Kα (λ = 1.5418 Å)).
Kinematic intensities with the Lorentz-polarization factor, no thermal factor.

Top 10 peaks for 2θ = 10–90°, low angle first:
| (hkl) | 2theta | d/Å | I_rel |
| --- | --- | --- | --- |
| 0 2 0 | 15.94 | 5.559 | 25 |
| 2 0 0 | 31.54 | 2.837 | 12 |
| 2 1 0 | 32.58 | 2.749 | 26 |
| 1 3 1 | 32.81 | 2.730 | 55 |
| 1 0 2 | 35.03 | 2.562 | 14 |
| 2 2 0 | 35.53 | 2.527 | 19 |
| 0 4 1 | 35.95 | 2.498 | 100 |
| 2 3 1 | 43.14 | 2.097 | 18 |
| 1 5 1 | 46.64 | 1.947 | 19 |
| 1 7 2 | 69.65 | 1.350 | 13 |

Cell and atoms:
Cell: 5.6732 11.1171 5.7425 Å, 90.00 90.00 90.00°
Space group Pbca (No. 61)
Symmetry-distinct sites (fractional):
1 Ga 0.1488 0.0402 0.1821
2 Hg 0.0568 0.1919 0.6062

***

Structure and computed XRD peak list of Dy8TcRu2 (a structure optimized by DFT (PBE); Cu Kα (λ = 1.5418 Å)).
Kinematic intensities with the Lorentz-polarization factor, no thermal factor.

Top 10 peaks for 2θ = 10–90°, low angle first:
| (hkl) | 2theta | d/Å | I_rel |
| --- | --- | --- | --- |
| 1 3 1 | 31.18 | 2.868 | 62 |
| 1 1 -2 | 31.78 | 2.816 | 69 |
| 2 0 1 | 32.17 | 2.783 | 63 |
| 0 4 1 | 32.78 | 2.732 | 100 |
| 3 1 -1 | 33.51 | 2.674 | 79 |
| 0 2 2 | 35.85 | 2.505 | 31 |
| 2 4 0 | 36.52 | 2.460 | 45 |
| 1 5 -1 | 39.40 | 2.287 | 65 |
| 3 3 0 | 40.59 | 2.223 | 30 |
| 4 4 -2 | 56.02 | 1.642 | 39 |

Cell and atoms:
Cell: 8.3136 12.6300 5.7787 Å, 90.00 109.19 90.00°
Space group Cm (No. 8)
Symmetry-distinct sites (fractional):
1 Dy 0.0000 0.0000 0.0000
2 Dy 0.0640 0.3719 0.7910
3 Dy 0.1580 0.1269 0.6008
4 Dy 0.2185 0.5000 0.3772
5 Dy 0.3672 0.2148 0.1916
6 Tc 0.3559 0.0000 0.1029
7 Ru 0.3535 0.3094 0.6782

***

Structure and computed XRD peak list of BeAlIn (a structure optimized by DFT (PBE); Cu Kα (λ = 1.5418 Å)).
Kinematic intensities with the Lorentz-polarization factor, no thermal factor.

Top 10 peaks for 2θ = 10–90°, low angle first:
| (hkl) | 2theta | d/Å | I_rel |
| --- | --- | --- | --- |
| 0 0 1 | 14.63 | 6.053 | 95 |
| 0 0 2 | 29.51 | 3.026 | 20 |
| 1 1 0 | 30.53 | 2.928 | 100 |
| 1 1 -1 | 32.95 | 2.718 | 50 |
| 1 0 -2 | 33.36 | 2.686 | 21 |
| 1 1 1 | 35.04 | 2.561 | 28 |
| 1 0 2 | 37.40 | 2.404 | 26 |
| 0 1 2 | 38.09 | 2.363 | 43 |
| 2 0 0 | 38.90 | 2.315 | 19 |
| 2 0 -1 | 39.98 | 2.255 | 22 |

Cell and atoms:
Cell: 4.6644 3.7800 6.0971 Å, 90.00 96.91 90.00°
Space group Pm (No. 6)
Symmetry-distinct sites (fractional):
1 Be 0.0000 0.0000 0.0000
2 Be 0.2431 0.5000 0.0593
3 Al 0.3579 0.0000 0.3205
4 Al 0.7768 0.5000 0.1917
5 In 0.4745 0.0000 0.7976
6 In 0.9562 0.5000 0.6435

***

Structure and computed XRD peak list of NbB4Mo3 (a structure optimized by DFT (PBE); Cu Kα (λ = 1.5418 Å)).
Kinematic intensities with the Lorentz-polarization factor, no thermal factor.

Top 10 peaks for 2θ = 10–90°, low angle first:
| (hkl) | 2theta | d/Å | I_rel |
| --- | --- | --- | --- |
| 0 1 1 | 29.74 | 3.004 | 55 |
| 2 0 2 | 35.61 | 2.521 | 99 |
| 2 1 1 | 41.79 | 2.162 | 100 |
| 0 0 4 | 42.05 | 2.149 | 28 |
| 0 1 3 | 42.31 | 2.136 | 65 |
| 2 1 3 | 51.91 | 1.761 | 17 |
| 0 2 0 | 57.49 | 1.603 | 16 |
| 2 1 5 | 68.94 | 1.362 | 28 |
| 2 2 2 | 69.48 | 1.353 | 27 |
| 4 1 3 | 75.59 | 1.258 | 23 |

Cell and atoms:
Cell: 6.2257 3.2062 8.5947 Å, 90.00 90.00 90.00°
Space group Amm2 (No. 38)
Symmetry-distinct sites (fractional):
1 Nb 0.0000 0.0000 0.0000
2 B 0.0000 0.0000 0.2939
3 B 0.2523 0.0000 0.4114
4 B 0.5000 0.0000 0.2937
5 Mo 0.2537 0.0000 0.7090
6 Mo 0.5000 0.0000 0.9978

***

Structure and computed XRD peak list of CaLa5Zn3 (a structure optimized by DFT (PBE); Cu Kα (λ = 1.5418 Å)).
Kinematic intensities with the Lorentz-polarization factor, no thermal factor.

Top 10 peaks for 2θ = 10–90°, low angle first:
| (hkl) | 2theta | d/Å | I_rel |
| --- | --- | --- | --- |
| 1 0 0 | 10.99 | 8.051 | 12 |
| 1 1 1 | 22.88 | 3.886 | 17 |
| 1 1 2 | 31.77 | 2.817 | 100 |
| 3 0 0 | 33.39 | 2.684 | 98 |
| 2 2 2 | 46.75 | 1.943 | 34 |
| 4 1 2 | 58.66 | 1.574 | 34 |
| 3 3 0 | 59.68 | 1.549 | 18 |
| 3 0 4 | 62.88 | 1.478 | 30 |
| 5 2 2 | 79.04 | 1.211 | 14 |
| 3 3 4 | 82.77 | 1.166 | 14 |

Cell and atoms:
Cell: 9.2967 9.2967 7.0828 Å, 90.00 90.00 120.00°
Space group P6_3/mcm (No. 193)
Symmetry-distinct sites (fractional):
1 Ca 0.0000 0.0000 0.0000
2 La 0.0000 0.3344 0.2500
3 La 0.3333 0.6667 0.0000
4 Zn 0.0000 0.3291 0.7500

***

Structure and computed XRD peak list of ErB3H12 (a structure optimized by DFT (PBE); Cu Kα (λ = 1.5418 Å)).
Kinematic intensities with the Lorentz-polarization factor, no thermal factor.

Top 10 peaks for 2θ = 10–90°, low angle first:
| (hkl) | 2theta | d/Å | I_rel |
| --- | --- | --- | --- |
| 0 1 2 | 16.36 | 5.419 | 100 |
| 1 1 0 | 23.21 | 3.832 | 61 |
| 2 0 2 | 28.55 | 3.126 | 14 |
| 0 2 4 | 33.06 | 2.710 | 20 |
| 1 1 6 | 37.09 | 2.424 | 47 |
| 2 1 4 | 40.82 | 2.211 | 23 |
| 0 3 6 | 50.56 | 1.805 | 20 |
| 1 2 8 | 53.47 | 1.714 | 14 |
| 3 2 4 | 64.34 | 1.448 | 8 |
| 5 0 2 | 71.88 | 1.313 | 8 |

Cell and atoms:
Cell: 7.6542 7.6542 18.8216 Å, 90.00 90.00 120.00°
Space group R-3c (No. 167, hexagonal axes)
Symmetry-distinct sites (fractional):
1 Er 0.0000 0.0000 0.0000
2 B 0.0000 0.4968 0.2500
3 H 0.0048 0.1915 0.9062
4 H 0.0185 0.4174 0.6977

***

Structure and computed XRD peak list of Ce4PaSb6 (a structure optimized by DFT (PBE); Cu Kα (λ = 1.5418 Å)).
Kinematic intensities with the Lorentz-polarization factor, no thermal factor.

Top 10 peaks for 2θ = 10–90°, low angle first:
| (hkl) | 2theta | d/Å | I_rel |
| --- | --- | --- | --- |
| 3 0 0 | 25.03 | 3.558 | 41 |
| 0 2 4 | 28.48 | 3.134 | 60 |
| 1 3 1 | 30.75 | 2.908 | 77 |
| 2 1 4 | 32.04 | 2.794 | 100 |
| 3 1 2 | 32.38 | 2.765 | 31 |
| 2 2 3 | 33.88 | 2.646 | 73 |
| 4 1 0 | 38.65 | 2.329 | 45 |
| 3 2 4 | 43.74 | 2.070 | 35 |
| 0 1 8 | 47.69 | 1.907 | 27 |
| 3 5 4 | 65.83 | 1.419 | 32 |

Cell and atoms:
Cell: 12.3246 12.3246 15.4897 Å, 90.00 90.00 120.00°
Space group R-3c (No. 167, hexagonal axes)
Symmetry-distinct sites (fractional):
1 Ce 0.0000 0.0000 0.2500
2 Ce 0.0000 0.3885 0.2500
3 Pa 0.0000 0.0000 0.0000
4 Sb 0.0332 0.2135 0.3865

***

Structure and computed XRD peak list of K2MnCdH6 (a structure optimized by DFT (PBE); Cu Kα (λ = 1.5418 Å)).
Kinematic intensities with the Lorentz-polarization factor, no thermal factor.

Top 10 peaks for 2θ = 10–90°, low angle first:
| (hkl) | 2theta | d/Å | I_rel |
| --- | --- | --- | --- |
| 1 0 1 | 18.86 | 4.706 | 11 |
| 1 1 0 | 21.81 | 4.076 | 16 |
| 2 0 0 | 31.03 | 2.882 | 100 |
| 0 1 3 | 36.56 | 2.458 | 7 |
| 2 2 0 | 44.42 | 2.039 | 12 |
| 0 0 4 | 44.52 | 2.035 | 6 |
| 3 1 2 | 55.19 | 1.664 | 29 |
| 2 0 4 | 55.26 | 1.662 | 6 |
| 2 2 4 | 64.71 | 1.440 | 7 |
| 4 2 0 | 73.42 | 1.290 | 9 |

Cell and atoms:
Cell: 5.7642 5.7722 8.1399 Å, 90.00 90.00 90.00°
Space group Immm (No. 71)
Symmetry-distinct sites (fractional):
1 K 0.0000 0.0000 0.2502
2 Mn 0.0000 0.5000 0.0000
3 Cd 0.0000 0.5000 0.5000
4 H 0.0000 0.5000 0.2102
5 H 0.2107 0.2916 0.0000